The following is a calculated PXRD pattern of Y8Ir2Rh. It was derived from DFT lattice parameters and positions (PBE), using CuKα.
Neutral-atom scattering factors, no anomalous dispersion.

The 10 most intense peaks (2θ = 15–90°), sorted by position:
15.7°, I 75.9
21.2°, I 41.3
26.4°, I 38.2
30.8°, I 100.0
32.8°, I 58.6
33.1°, I 75.7
34.8°, I 58.8
35.7°, I 52.4
39.6°, I 77.2
40.1°, I 55.6

Lattice parameters (Å, degrees): 7.5375 7.5375 5.9541 100.10 100.10 111.93
Positions (direct):
Y 0.0000 0.0000 0.0000
Y 0.0222 0.2827 0.5916
Y 0.1457 0.5774 0.1852
Y 0.2827 0.0222 0.5916
Y 0.4336 0.6937 0.7897
Y 0.5774 0.1457 0.1852
Y 0.6937 0.4336 0.7897
Y 0.7222 0.7222 0.3720
Ir 0.0439 0.6688 0.6846
Ir 0.6688 0.0439 0.6846
Rh 0.3639 0.3639 0.0400